Starting from a crystal structure in Alexandria, relaxed with GGA+U, the PXRD pattern of BaCaMo4O8 was computed for Cu Kα (λ = 1.5418 Å).
No peak broadening, texture or thermal motion is included.

Most intense lines, 2θ from 10° to 90°, by angle:
2θ (°)  d/Å  Rel. int.  h k l
23.53  3.781  14  0 0 2
29.47  3.031  83  1 0 2
30.55  2.927  100  1 1 0
42.96  2.105  33  2 0 2
53.63  1.709  32  2 1 2
54.29  1.690  28  3 0 0
58.08  1.588  29  2 -1 4
75.45  1.260  14  3 0 4

Cell and atoms:
Cell lengths 5.8531, 5.8531, 7.5629 Å; angles 90.00, 90.00, 120.00 degrees
Space group P-31m (No. 162)
Unique sites:
Ba 0.0000 0.0000 0.0000 [1 per cell]
Ca 0.0000 0.0000 0.5000 [1 per cell]
Mo 0.3333 0.6667 0.2705 [4 per cell]
O 0.0000 0.3066 0.3012 [6 per cell]
O 0.3333 0.6667 0.0000 [2 per cell]